Structure and theoretical PXRD pattern of Pm3Au2 (a crystal structure in Alexandria, relaxed with PBE; Cu Ka).

Peak list (10 most intense, 10° ≤ 2θ ≤ 90°, by angle)
2theta	intensity
31.35	16
33.17	100
33.83	47
41.20	9
45.44	12
46.62	13
58.83	19
61.21	10
64.48	17
77.83	9

Atomic structure:
Cell lengths 8.380, 8.380, 3.897 Å; angles 90.00, 90.00, 90.00 degrees
Space group P4/mbm (No. 127)
Unique sites:
Pm1 0.000 0.000 0.000
Pm2 0.165 0.335 0.500
Au1 0.129 0.629 0.000

Structure and theoretical PXRD pattern of SmY4Ru2 (a crystal structure in Alexandria, relaxed with PBE; Cu Ka).

Peak list (10 most intense, 10° ≤ 2θ ≤ 90°, by angle)
2theta	intensity
27.82	62
30.38	44
30.57	67
31.03	60
31.67	39
33.59	55
34.29	58
34.69	42
36.00	98
37.63	100

Atomic structure:
Cell lengths 7.776, 6.414, 8.013 Å; angles 90.00, 112.75, 90.00 degrees
Space group P2_1/m (No. 11)
Unique sites:
Sm1 0.024 0.250 0.165
Y1 0.244 0.501 0.585
Y2 0.324 0.750 0.250
Y3 0.380 0.250 0.020
Ru1 0.022 0.250 0.739
Ru2 0.413 0.250 0.372

Structure and theoretical PXRD pattern of Tl2SbPd6 (a crystal structure in Alexandria, relaxed with PBE; Cu Ka).

Peak list (10 most intense, 10° ≤ 2θ ≤ 90°, by angle)
2theta	intensity
31.93	14
37.16	100
38.07	89
41.11	33
41.63	40
48.12	20
53.42	15
59.94	17
65.48	16
73.61	14

Atomic structure:
Cell lengths 8.877, 4.339, 8.552 Å; angles 90.00, 99.99, 90.00 degrees
Space group C2/m (No. 12)
Unique sites:
Tl1 0.202 0.000 0.259
Sb1 0.000 0.500 0.000
Pd1 0.022 0.500 0.331
Pd2 0.151 0.000 0.565
Pd3 0.154 0.000 0.912

Structure and theoretical PXRD pattern of HoTl2CdF6 (a crystal structure in Alexandria, relaxed with PBE; Cu Ka).

Peak list (10 most intense, 10° ≤ 2θ ≤ 90°, by angle)
2theta	intensity
27.48	100
33.82	6
39.25	30
48.58	43
56.72	20
64.16	19
67.70	2
71.15	7
77.86	22
84.45	2

Atomic structure:
Cell lengths 6.490, 9.189, 6.489 Å; angles 90.00, 90.00, 90.00 degrees
Space group Pmmn (No. 59, origin choice 2)
Unique sites:
Ho1 0.250 0.250 0.248
Tl1 0.250 0.001 0.750
Cd1 0.250 0.750 0.252
F1 0.013 0.250 0.485
F2 0.014 0.250 0.010
F3 0.250 0.013 0.248

Structure and theoretical PXRD pattern of Y2HoSb (a crystal structure in Alexandria, relaxed with PBE; Cu Ka).

Peak list (10 most intense, 10° ≤ 2θ ≤ 90°, by angle)
2theta	intensity
29.60	93
30.62	26
30.80	26
31.78	34
32.24	100
34.81	34
36.51	23
37.85	22
43.95	26
57.98	34

Atomic structure:
Cell lengths 4.120, 12.270, 9.508 Å; angles 90.00, 90.00, 90.00 degrees
Space group Cmcm (No. 63)
Unique sites:
Y1 0.000 0.136 0.048
Ho1 0.000 0.440 0.250
Sb1 0.000 0.258 0.750

Structure and theoretical PXRD pattern of Ti2Cu2Mo (a crystal structure in Alexandria, relaxed with PBE; Cu Ka).

Peak list (10 most intense, 10° ≤ 2θ ≤ 90°, by angle)
2theta	intensity
35.28	19
35.80	48
39.61	98
42.08	100
47.68	15
57.26	12
60.68	17
78.56	24
78.98	17
85.62	14

Atomic structure:
Cell lengths 7.195, 7.195, 2.883 Å; angles 90.00, 90.00, 90.00 degrees
Space group P4/mbm (No. 127)
Unique sites:
Ti1 0.162 0.338 0.000
Cu1 0.133 0.633 0.500
Mo1 0.000 0.000 0.000

Structure and theoretical PXRD pattern of Ho5Ti5O17 (a crystal structure in Alexandria, relaxed with PBE; Cu Ka).

Peak list (10 most intense, 10° ≤ 2θ ≤ 90°, by angle)
2theta	intensity
17.11	21
21.46	42
28.31	31
28.65	27
30.73	100
33.31	27
33.76	26
34.78	34
44.16	24
47.71	29

Atomic structure:
Cell lengths 3.812, 5.489, 31.524 Å; angles 90.00, 90.00, 90.00 degrees
Space group Pmn2_1 (No. 31)
Unique sites:
Ho1 0.000 0.153 0.000
Ho2 0.000 0.297 0.775
Ho3 0.000 0.346 0.556
Ho4 0.000 0.665 0.681
Ho5 0.000 0.835 0.876
Ti1 0.000 0.218 0.102
Ti2 0.000 0.234 0.277
Ti3 0.000 0.285 0.454
Ti4 0.000 0.726 0.365
Ti5 0.000 0.774 0.188
O1 0.000 0.065 0.504
O2 0.000 0.082 0.160
O3 0.000 0.085 0.331
O4 0.000 0.236 0.854
O5 0.000 0.252 0.699
O6 0.000 0.431 0.395
O7 0.000 0.437 0.051
O8 0.000 0.442 0.223
O9 0.000 0.557 0.143
O10 0.000 0.559 0.488
O11 0.000 0.570 0.307
O12 0.000 0.708 0.607
O13 0.000 0.720 0.773
O14 0.000 0.791 0.948
O15 0.000 0.930 0.249
O16 0.000 0.944 0.067
O17 0.000 0.954 0.409

Structure and theoretical PXRD pattern of PmDy2Tm7 (a crystal structure in Alexandria, relaxed with PBE; Cu Ka).

Peak list (10 most intense, 10° ≤ 2θ ≤ 90°, by angle)
2theta	intensity
31.18	100
36.16	51
52.02	18
52.12	18
61.92	18
62.00	21
65.08	9
85.23	9
87.87	6
87.98	6

Atomic structure:
Cell lengths 6.080, 7.036, 7.844 Å; angles 77.18, 75.06, 73.29 degrees
Space group P-1 (No. 2)
Unique sites:
Pm1 0.000 0.000 0.000
Dy1 0.200 0.300 0.600
Tm1 0.000 0.500 0.000
Tm2 0.201 0.799 0.600
Tm3 0.400 0.100 0.200
Tm4 0.401 0.599 0.201